Computed powder XRD pattern
Compound: Pm2InCoO6
Radiation: Cu Kα, 1.54184 Å
Structure: a cell relaxed with PBE+U

Most intense lines, 10° ≤ 2θ ≤ 80°, by angle:
2.873 Å, 31.1°, I = 40, (0 2 0); 2.807 Å, 31.9°, I = 100, (1 1 1); 2.782 Å, 32.2°, I = 98, (1 1 -3); 2.740 Å, 32.7°, I = 47, (2 0 -2); 2.699 Å, 33.2°, I = 17, (0 2 1); 1.983 Å, 45.8°, I = 37, (2 2 -2); 1.969 Å, 46.1°, I = 27, (0 0 4); 1.624 Å, 56.7°, I = 18, (0 2 4); 1.599 Å, 57.6°, I = 21, (3 1 -1); 1.585 Å, 58.2°, I = 21, (3 1 -5)

Cell and atoms:
```
20
Lattice="5.480 0.000 0.000 0.000 5.747 0.000 -5.382 0.000 7.878" Properties=species:S:1:pos:R:3 pbc="T T T"
Pm -0.080 0.362 1.969
Pm -2.771 2.511 5.908
Pm 2.868 3.236 1.970
Pm 0.177 5.385 5.908
In 2.740 0.000 0.000
In 0.049 2.873 3.939
Co -2.691 0.000 3.939
Co 0.000 2.873 0.000
O -4.386 1.227 7.413
O -1.695 1.647 3.474
O -3.802 3.955 7.459
O -1.111 4.665 3.520
O -2.081 0.214 5.792
O 0.611 2.660 1.853
O -0.513 3.087 6.024
O 2.178 5.533 2.085
O 1.209 1.082 4.358
O 3.900 1.792 0.419
O 1.792 4.100 4.403
O 4.483 4.520 0.465
```